Simulated XRD peak list of K2MgV2Cu4S8 for Cu Kα (weighted mean of Kα1 and Kα2), from a structure optimized by DFT (PBE).
Intensities are scaled so that the largest is 1000.

Most intense lines, 5 to 70 degrees two-theta, by intensity:
2θ = 15.20°, intensity 1000
2θ = 9.49°, intensity 936
2θ = 29.38°, intensity 473
2θ = 45.77°, intensity 400
2θ = 44.52°, intensity 391
2θ = 28.28°, intensity 349
2θ = 29.11°, intensity 305
2θ = 48.76°, intensity 245

abc: 5.5479 7.4708 9.6180
angles: 90.00 104.32 90.00
Element x y z (fractional)
K  0.0000  0.0000  0.0000
K  0.4469  0.5000  0.7609
Mg  0.7917  0.5000  0.4075
V  0.3382  0.5000  0.1387
V  0.5257  0.0000  0.5847
Cu  0.0271  0.0000  0.5796
Cu  0.4391  0.2410  0.3587
Cu  0.4391  0.7590  0.3587
Cu  0.8342  0.5000  0.1289
S  0.0243  0.5000  0.9476
S  0.1962  0.5000  0.3439
S  0.2068  0.0000  0.3852
S  0.3721  0.0000  0.7725
S  0.5839  0.2588  0.1540
S  0.5839  0.7412  0.1540
S  0.7631  0.2461  0.5753
S  0.7631  0.7539  0.5753

***

Simulated XRD peak list of BaPtO7 for Cu Kα (weighted mean of Kα1 and Kα2), from a structure optimized by DFT (PBE).
Intensities are scaled so that the largest is 1000.

Most intense lines, 5 to 70 degrees two-theta, by intensity:
2θ = 26.91°, intensity 1000
2θ = 21.26°, intensity 917
2θ = 29.67°, intensity 680
2θ = 15.29°, intensity 567
2θ = 13.54°, intensity 469
2θ = 32.77°, intensity 425
2θ = 45.43°, intensity 404
2θ = 34.98°, intensity 348

abc: 6.7802 4.9778 7.9786
angles: 90.00 105.28 90.00
Element x y z (fractional)
Ba  0.2505  0.2500  0.0595
Ba  0.7495  0.7500  0.9405
Pt  0.1493  0.7500  0.6895
Pt  0.8507  0.2500  0.3105
O  0.0826  0.5128  0.3075
O  0.0826  0.9872  0.3075
O  0.1447  0.7500  0.4142
O  0.1784  0.7500  0.9432
O  0.3780  0.2500  0.6324
O  0.3876  0.0172  0.7411
O  0.3876  0.4828  0.7411
O  0.6124  0.5172  0.2589
O  0.6124  0.9828  0.2589
O  0.6220  0.7500  0.3676
O  0.8216  0.2500  0.0568
O  0.8553  0.2500  0.5858
O  0.9174  0.0128  0.6925
O  0.9174  0.4872  0.6925

***

Simulated XRD peak list of Y4GaCo4 for Cu Kα (weighted mean of Kα1 and Kα2), from a structure optimized by DFT (PBE).
Intensities are scaled so that the largest is 1000.

Most intense lines, 5 to 70 degrees two-theta, by intensity:
2θ = 34.43°, intensity 1000
2θ = 34.26°, intensity 850
2θ = 40.31°, intensity 548
2θ = 44.50°, intensity 508
2θ = 41.30°, intensity 460
2θ = 37.48°, intensity 384
2θ = 42.92°, intensity 310
2θ = 29.76°, intensity 277

abc: 5.4784 5.4784 8.9263
angles: 108.88 108.88 43.63
Element x y z (fractional)
Y  0.1095  0.1095  0.3843
Y  0.2453  0.2453  0.8393
Y  0.7547  0.7547  0.1607
Y  0.8905  0.8905  0.6157
Ga  0.0000  0.0000  0.0000
Co  0.4110  0.4110  0.3793
Co  0.4630  0.4630  0.1461
Co  0.5370  0.5370  0.8539
Co  0.5890  0.5890  0.6207

***

Simulated XRD peak list of HoZnRh2 for Cu Kα (weighted mean of Kα1 and Kα2), from a structure optimized by DFT (PBE).
Intensities are scaled so that the largest is 1000.

Most intense lines, 5 to 70 degrees two-theta, by intensity:
2θ = 39.51°, intensity 1000
2θ = 57.11°, intensity 168
2θ = 23.89°, intensity 102
2θ = 46.70°, intensity 53
2θ = 62.79°, intensity 23

abc: 4.5615 4.5615 4.5615
angles: 60.00 60.00 60.00
Element x y z (fractional)
Ho  0.0000  0.0000  0.0000
Zn  0.5000  0.5000  0.5000
Rh  0.2500  0.2500  0.2500
Rh  0.7500  0.7500  0.7500

***

Simulated XRD peak list of TaMnRu2 for Cu Kα (weighted mean of Kα1 and Kα2), from a structure optimized by DFT (PBE).
Intensities are scaled so that the largest is 1000.

Most intense lines, 5 to 70 degrees two-theta, by intensity:
2θ = 41.13°, intensity 1000
2θ = 24.84°, intensity 188
2θ = 59.58°, intensity 165
2θ = 48.65°, intensity 100
2θ = 65.55°, intensity 43

abc: 4.3892 4.3892 4.3892
angles: 60.00 60.00 60.00
Element x y z (fractional)
Ta  0.0000  0.0000  0.0000
Mn  0.5000  0.5000  0.5000
Ru  0.2500  0.2500  0.2500
Ru  0.7500  0.7500  0.7500

***

Simulated XRD peak list of YHfMg6O8 for Cu Kα (weighted mean of Kα1 and Kα2), from a structure optimized by DFT (PBE).
Intensities are scaled so that the largest is 1000.

Most intense lines, 5 to 70 degrees two-theta, by intensity:
2θ = 9.85°, intensity 1000
2θ = 40.62°, intensity 552
2θ = 34.86°, intensity 459
2θ = 30.14°, intensity 398
2θ = 58.46°, intensity 328
2θ = 19.78°, intensity 276
2θ = 40.18°, intensity 270
2θ = 28.41°, intensity 221

abc: 4.4424 4.4424 8.9771
angles: 90.00 90.00 90.00
Element x y z (fractional)
Y  0.0000  0.0000  0.0000
Hf  0.5000  0.5000  0.0000
Mg  0.0000  0.0000  0.5000
Mg  0.0000  0.5000  0.2675
Mg  0.0000  0.5000  0.7325
Mg  0.5000  0.0000  0.2675
Mg  0.5000  0.0000  0.7325
Mg  0.5000  0.5000  0.5000
O  0.0000  0.0000  0.2676
O  0.0000  0.0000  0.7324
O  0.0000  0.5000  0.0000
O  0.0000  0.5000  0.5000
O  0.5000  0.0000  0.0000
O  0.5000  0.0000  0.5000
O  0.5000  0.5000  0.2621
O  0.5000  0.5000  0.7379